For K2CeCuBr6, a crystal structure in the Materials Project, relaxed with GGA-PBE gives the simulated X-ray diffraction stick pattern in this record (Cu Ka).
Intensities are scaled so that the largest is 100.

The 10 most intense peaks (2θ from 5° to 70°), sorted by position:
2theta, I (rel.)
15.93, 77
22.61, 14
27.78, 43
32.19, 100
36.11, 40
46.16, 70
49.14, 21
54.73, 17
57.38, 24
69.70, 11

Atomic structure:
```
data_K2CeCuBr6
_chemical_formula_sum 'K8 Ce4 Cu4 Br24'
_cell_length_a 11.1248
_cell_length_b 11.1248
_cell_length_c 11.1248
_cell_angle_alpha 90.00
_cell_angle_beta 90.00
_cell_angle_gamma 90.00
_space_group_name_H-M_alt 'F m -3 m'
_space_group_IT_number 225
_space_group_name_Hall '-F 4 2 3'
loop_
_atom_site_label
_atom_site_type_symbol
_atom_site_fract_x
_atom_site_fract_y
_atom_site_fract_z
_atom_site_occupancy
K1 K 0.2500 0.2500 0.2500 1
Ce1 Ce 0.0000 0.0000 0.0000 1
Cu1 Cu 0.0000 0.0000 0.5000 1
Br1 Br 0.0000 0.0000 0.2593 1
```